No. 1
# Tb3ZrSb4
Simulated X-ray diffraction stick pattern, Cu Kα (λ = 1.5418 Å). Input: the GGA-PBE geometry in Alexandria.

Cell and atoms:
```
8
Lattice="4.335 -6.112 0.000 4.335 6.112 0.000 0.000 0.000 4.325" Properties=species:S:1:pos:R:3 pbc="T T T"
Tb 0.000 0.000 0.000
Tb 2.168 3.056 2.162
Tb 2.168 -3.056 2.162
Zr 4.335 0.000 0.000
Sb 4.335 2.988 0.000
Sb 2.258 0.000 2.162
Sb 6.412 0.000 2.162
Sb 4.335 -2.988 0.000
```

Most intense lines, 2θ = 5–70°, in order of rising 2θ:
two_theta	I/Imax
29.2	100.0
41.7	62.6
41.8	12.6
51.7	26.6
60.5	8.2
68.6	28.1

=====

No. 2
# CaCu7Ni5
Simulated X-ray diffraction stick pattern, Cu Kα (λ = 1.5418 Å). Input: the GGA-PBE geometry in Alexandria.

Cell and atoms:
```
13
Lattice="-2.396 4.168 4.184 2.396 -4.168 4.184 2.396 4.168 -4.184" Properties=species:S:1:pos:R:3 pbc="T T T"
Ca 0.000 0.000 0.000
Cu 2.396 1.858 -0.017
Cu 0.000 0.000 2.925
Cu 2.396 -1.230 4.164
Cu 2.396 1.230 4.164
Cu 0.000 0.000 5.416
Cu 0.000 4.168 2.275
Cu 0.000 2.311 4.167
Ni -1.201 2.104 6.253
Ni 1.201 2.104 6.253
Ni 2.396 0.000 1.913
Ni 1.196 2.064 2.069
Ni 3.597 2.064 2.069
```

Most intense lines, 2θ = 5–70°, in order of rising 2θ:
two_theta	I/Imax
43.3	29.4
43.4	100.0
43.5	57.0
48.7	39.4
48.8	38.6
49.0	74.7

=====

No. 3
# Yb4Ge3Au5
Simulated X-ray diffraction stick pattern, Cu Kα (λ = 1.5418 Å). Input: the GGA-PBE geometry in Alexandria.

Cell and atoms:
```
12
Lattice="5.342 -2.267 0.000 5.342 2.267 0.000 -1.134 0.000 10.670" Properties=species:S:1:pos:R:3 pbc="T T T"
Yb 0.000 0.000 0.000
Yb 1.944 0.000 3.117
Yb 4.814 0.000 5.387
Yb 6.625 0.000 8.396
Ge 3.452 0.000 8.459
Ge 7.564 0.000 0.970
Ge 9.434 0.000 2.927
Au 1.562 0.000 6.299
Au 1.959 0.000 10.610
Au 5.211 0.000 2.236
Au 8.012 0.000 5.132
Au 9.775 0.000 7.633
```

Most intense lines, 2θ = 5–70°, in order of rising 2θ:
two_theta	I/Imax
32.5	36.3
33.6	23.2
33.8	100.0
33.9	53.4
39.3	85.4
39.8	46.8

=====

No. 4
# Cs3Li
Simulated X-ray diffraction stick pattern, Cu Kα (λ = 1.5418 Å). Input: the GGA-PBE geometry in Alexandria.

Cell and atoms:
```
4
Lattice="-3.820 3.820 5.613 3.820 -3.820 5.613 3.820 3.820 -5.613" Properties=species:S:1:pos:R:3 pbc="T T T"
Cs 0.000 0.000 0.000
Cs 3.820 0.000 2.807
Cs 0.000 3.820 2.807
Li 0.000 0.000 5.613
```

Most intense lines, 2θ = 5–70°, in order of rising 2θ:
two_theta	I/Imax
14.0	30.3
22.8	100.0
23.3	47.7
33.2	19.1
39.9	22.8
40.7	43.1